Computed PXRD pattern
Compound: V2Ag2O7
Radiation: a wavelength of 1.5418 Å
Structure: a DFT-relaxed cell (GGA+U, Alexandria)
Peak positions follow from Bragg's law for the DFT cell and can differ from measured ones.

Most intense lines, 2θ from 10° to 80°, in order of rising 2θ:
d/Å	Position (°2θ)	I (rel.)
5.509	16.09	35.3
3.550	25.08	44.4
3.378	26.38	100.0
3.051	29.28	48.9
2.772	32.30	34.2
2.754	32.51	32.3

Structural model:
```
11
Lattice="3.4963 -4.5354 0.0000 3.4963 4.5354 0.0000 -0.6614 0.0000 5.0627" Properties=species:S:1:pos:R:3 pbc="T T T"
V 1.3989 0.0000 2.0769
V 4.9323 0.0000 2.9858
Ag 3.4963 1.6999 0.0000
Ag 3.4963 -1.6999 0.0000
O -0.3307 0.0000 2.5314
O 1.6744 1.4641 1.1541
O 2.2476 0.0000 3.5810
O 1.6744 -1.4641 1.1541
O 4.6567 1.4641 3.9086
O 4.0836 0.0000 1.4818
O 4.6567 -1.4641 3.9086
```